Structure and computed XRD peak list of Sm3MoO7 (a cell relaxed with PBE+U; Cu Kα, 1.54184 Å).
Intensities are scaled so that the largest is 100.

Structure:
Cell: 7.531 7.696 10.828 Å, 90.00 90.00 90.00°
Fractional coordinates of all 44 atoms:
1 Sm 0.001 0.042 0.225
2 Sm 0.002 0.040 0.777
3 Sm 0.233 0.200 0.500
4 Sm 0.267 0.800 0.000
5 Sm 0.498 0.960 0.277
6 Sm 0.499 0.958 0.725
7 Sm 0.501 0.458 0.775
8 Sm 0.502 0.460 0.223
9 Sm 0.733 0.300 0.500
10 Sm 0.767 0.700 0.000
11 Sm 0.998 0.540 0.723
12 Sm 0.999 0.542 0.275
13 Mo 0.246 0.252 0.000
14 Mo 0.254 0.748 0.500
15 Mo 0.746 0.248 0.000
16 Mo 0.754 0.752 0.500
17 O 0.005 0.653 0.500
18 O 0.009 0.770 0.133
19 O 0.010 0.765 0.866
20 O 0.205 0.393 0.859
21 O 0.207 0.401 0.140
22 O 0.212 0.947 0.624
23 O 0.212 0.952 0.375
24 O 0.288 0.048 0.875
25 O 0.288 0.053 0.124
26 O 0.293 0.599 0.640
27 O 0.295 0.607 0.359
28 O 0.490 0.235 0.366
29 O 0.491 0.230 0.633
30 O 0.495 0.347 0.000
31 O 0.505 0.847 0.500
32 O 0.509 0.730 0.867
33 O 0.510 0.735 0.134
34 O 0.705 0.107 0.141
35 O 0.707 0.099 0.860
36 O 0.712 0.548 0.625
37 O 0.712 0.553 0.376
38 O 0.788 0.447 0.876
39 O 0.788 0.452 0.125
40 O 0.793 0.901 0.360
41 O 0.795 0.893 0.641
42 O 0.990 0.265 0.634
43 O 0.991 0.270 0.367
44 O 0.995 0.153 0.000

Top 10 peaks for 10° ≤ 2θ ≤ 90°, sorted by position:
(1 2 0), 26.0°, rel. 11.3
(0 2 2), 28.5°, rel. 88.6
(2 0 2), 28.9°, rel. 100.0
(0 0 4), 33.1°, rel. 22.2
(2 2 0), 33.3°, rel. 43.7
(2 2 4), 47.6°, rel. 43.6
(4 0 0), 48.3°, rel. 17.1
(1 4 2), 51.9°, rel. 10.8
(0 2 6), 56.3°, rel. 19.4
(4 2 2), 57.0°, rel. 26.6